This entry pairs a crystal structure of CoSBr with its theoretical powder diffraction line list. Radiation: λ = 1.5418 Å (Cu Kα). Structure: a crystal structure in Alexandria, relaxed with GGA-PBE.

Top 10 peaks for 10° ≤ 2θ ≤ 90°, sorted by position:
two_theta	Rel. int.
10.1	70.5
22.6	100.0
33.4	62.1
34.8	12.4
40.8	21.5
40.9	27.9
45.9	42.6
53.8	41.5
59.2	26.7
69.8	10.6

Crystal structure
Lattice parameters (Å, degrees): 3.404 4.410 8.724 90.00 90.00 90.00
Fractional coordinates of all 6 atoms:
Co (0.250, 0.250, 0.115)
Co (0.750, 0.750, 0.885)
S (0.250, 0.750, 0.050)
S (0.750, 0.250, 0.950)
Br (0.250, 0.750, 0.688)
Br (0.750, 0.250, 0.312)

***

This entry pairs a crystal structure of Co3SbBr9 with its theoretical powder diffraction line list. Radiation: λ = 1.5418 Å (Cu Kα). Structure: a crystal structure in Alexandria, relaxed with GGA-PBE.

Top 10 peaks for 10° ≤ 2θ ≤ 90°, sorted by position:
two_theta	Rel. int.
16.3	100.0
18.0	39.2
25.7	27.3
25.9	53.3
26.8	25.6
26.9	23.6
28.0	67.8
28.6	25.9
31.3	29.2
38.7	24.7

Crystal structure
Lattice parameters (Å, degrees): 10.414 10.414 13.320 124.26 124.26 53.39
Fractional coordinates of all 26 atoms:
Co (0.080, 0.920, 0.500)
Co (0.291, 0.453, 0.548)
Co (0.453, 0.291, 0.048)
Co (0.667, 0.896, 0.160)
Co (0.896, 0.667, 0.660)
Co (0.920, 0.080, 0.000)
Sb (0.410, 0.875, 0.333)
Sb (0.875, 0.410, 0.833)
Br (0.034, 0.046, 0.698)
Br (0.046, 0.034, 0.198)
Br (0.060, 0.811, 0.860)
Br (0.095, 0.416, 0.558)
Br (0.156, 0.620, 0.417)
Br (0.178, 0.410, 0.892)
Br (0.305, 0.959, 0.532)
Br (0.410, 0.178, 0.392)
Br (0.416, 0.095, 0.058)
Br (0.492, 0.509, 0.253)
Br (0.509, 0.492, 0.753)
Br (0.572, 0.733, 0.158)
Br (0.620, 0.156, 0.917)
Br (0.719, 0.856, 0.540)
Br (0.733, 0.572, 0.658)
Br (0.811, 0.060, 0.360)
Br (0.856, 0.719, 0.040)
Br (0.959, 0.305, 0.032)

***

This entry pairs a crystal structure of CoSeBr with its theoretical powder diffraction line list. Radiation: λ = 1.5418 Å (Cu Kα). Structure: a crystal structure in Alexandria, relaxed with GGA-PBE.

Top 10 peaks for 10° ≤ 2θ ≤ 90°, sorted by position:
two_theta	Rel. int.
12.9	100.0
30.0	9.1
30.4	16.0
30.6	12.6
36.1	51.1
37.5	23.3
45.4	11.1
51.3	26.4
52.8	8.7
54.9	13.7

Crystal structure
Lattice parameters (Å, degrees): 6.256 3.469 7.334 90.00 110.88 90.00
Fractional coordinates of all 6 atoms:
Co (0.242, 0.250, 0.002)
Co (0.758, 0.750, 0.998)
Se (0.149, 0.750, 0.172)
Se (0.851, 0.250, 0.828)
Br (0.338, 0.750, 0.793)
Br (0.662, 0.250, 0.207)

***

This entry pairs a crystal structure of Sm5CoBr5 with its theoretical powder diffraction line list. Radiation: λ = 1.5418 Å (Cu Kα). Structure: a crystal structure in Alexandria, relaxed with GGA-PBE.

Top 10 peaks for 10° ≤ 2θ ≤ 90°, sorted by position:
two_theta	Rel. int.
10.7	29.1
30.0	55.2
30.2	82.4
30.5	83.8
31.6	40.3
34.5	42.2
43.4	100.0
44.8	19.9
52.2	18.9
55.2	22.9

Crystal structure
Lattice parameters (Å, degrees): 7.077 7.077 8.747 107.78 107.78 48.89
Fractional coordinates of all 11 atoms:
Sm (0.000, 0.000, 0.000)
Sm (0.334, 0.334, 0.131)
Sm (0.360, 0.360, 0.723)
Sm (0.640, 0.640, 0.277)
Sm (0.666, 0.666, 0.869)
Co (0.500, 0.500, 0.000)
Br (0.145, 0.145, 0.786)
Br (0.178, 0.178, 0.359)
Br (0.500, 0.500, 0.500)
Br (0.822, 0.822, 0.641)
Br (0.855, 0.855, 0.214)

***

This entry pairs a crystal structure of CoSn2Br6 with its theoretical powder diffraction line list. Radiation: λ = 1.5418 Å (Cu Kα). Structure: a crystal structure in Alexandria, relaxed with GGA-PBE.

Top 10 peaks for 10° ≤ 2θ ≤ 90°, sorted by position:
two_theta	Rel. int.
19.1	43.0
19.5	35.6
23.3	40.0
25.4	56.3
28.9	93.0
29.4	64.4
30.5	73.1
41.7	66.6
42.1	35.5
43.0	100.0

Crystal structure
Lattice parameters (Å, degrees): 11.224 11.224 6.174 105.32 105.32 108.39
Fractional coordinates of all 18 atoms:
Co (0.177, 0.823, 0.750)
Co (0.823, 0.177, 0.250)
Sn (0.251, 0.453, 0.829)
Sn (0.453, 0.251, 0.329)
Sn (0.547, 0.749, 0.671)
Sn (0.749, 0.547, 0.171)
Br (0.011, 0.207, 0.587)
Br (0.119, 0.627, 0.858)
Br (0.207, 0.011, 0.087)
Br (0.288, 0.458, 0.401)
Br (0.373, 0.881, 0.642)
Br (0.458, 0.288, 0.901)
Br (0.542, 0.712, 0.099)
Br (0.627, 0.119, 0.358)
Br (0.712, 0.542, 0.599)
Br (0.793, 0.989, 0.913)
Br (0.881, 0.373, 0.142)
Br (0.989, 0.793, 0.413)

***

This entry pairs a crystal structure of Tb3CoBr with its theoretical powder diffraction line list. Radiation: λ = 1.5418 Å (Cu Kα). Structure: a crystal structure in Alexandria, relaxed with GGA-PBE.

Top 10 peaks for 10° ≤ 2θ ≤ 90°, sorted by position:
two_theta	Rel. int.
11.1	71.1
30.7	75.6
32.8	100.0
33.1	46.8
34.5	81.1
36.5	41.2
37.6	25.0
49.3	25.1
59.2	23.6
59.9	20.6

Crystal structure
Lattice parameters (Å, degrees): 3.697 9.408 7.938 90.00 90.00 90.00
Fractional coordinates of all 10 atoms:
Tb (0.250, 0.072, 0.159)
Tb (0.250, 0.250, 0.758)
Tb (0.250, 0.428, 0.159)
Tb (0.750, 0.572, 0.841)
Tb (0.750, 0.750, 0.242)
Tb (0.750, 0.928, 0.841)
Co (0.250, 0.750, 0.013)
Co (0.750, 0.250, 0.987)
Br (0.250, 0.750, 0.562)
Br (0.750, 0.250, 0.438)

***

This entry pairs a crystal structure of Tb3CoBr3 with its theoretical powder diffraction line list. Radiation: λ = 1.5418 Å (Cu Kα). Structure: a crystal structure in Alexandria, relaxed with GGA-PBE.

Top 10 peaks for 10° ≤ 2θ ≤ 90°, sorted by position:
two_theta	Rel. int.
10.3	62.8
29.2	19.1
30.4	53.8
30.6	100.0
31.8	20.6
32.0	16.4
38.8	19.5
43.1	40.4
45.4	26.2
55.6	19.2

Crystal structure
Lattice parameters (Å, degrees): 8.556 3.997 11.776 90.00 92.14 90.00
Fractional coordinates of all 14 atoms:
Tb (0.102, 0.250, 0.327)
Tb (0.135, 0.250, 0.870)
Tb (0.274, 0.750, 0.105)
Tb (0.726, 0.250, 0.895)
Tb (0.865, 0.750, 0.130)
Tb (0.898, 0.750, 0.673)
Co (0.062, 0.250, 0.098)
Co (0.938, 0.750, 0.902)
Br (0.135, 0.250, 0.604)
Br (0.347, 0.750, 0.358)
Br (0.422, 0.750, 0.870)
Br (0.578, 0.250, 0.130)
Br (0.653, 0.250, 0.642)
Br (0.865, 0.750, 0.396)

***

This entry pairs a crystal structure of Co2TcBr with its theoretical powder diffraction line list. Radiation: λ = 1.5418 Å (Cu Kα). Structure: a crystal structure in Alexandria, relaxed with GGA-PBE.

Top 10 peaks for 10° ≤ 2θ ≤ 90°, sorted by position:
two_theta	Rel. int.
12.7	37.0
32.1	47.4
39.4	18.3
40.0	100.0
42.6	21.4
44.6	89.8
49.5	53.8
75.4	28.6
83.1	26.0
83.7	22.2

Crystal structure
Lattice parameters (Å, degrees): 2.968 3.040 6.943 90.00 90.00 90.00
Fractional coordinates of all 4 atoms:
Co (0.000, 0.000, 0.199)
Co (0.000, 0.000, 0.801)
Tc (0.500, 0.500, 0.000)
Br (0.500, 0.000, 0.500)

***

This entry pairs a crystal structure of CoTe2Br with its theoretical powder diffraction line list. Radiation: λ = 1.5418 Å (Cu Kα). Structure: a crystal structure in Alexandria, relaxed with GGA-PBE.

Top 10 peaks for 10° ≤ 2θ ≤ 90°, sorted by position:
two_theta	Rel. int.
11.2	100.0
26.6	47.1
27.2	60.2
28.4	41.8
28.6	45.1
34.1	56.7
36.2	73.4
42.5	28.6
42.9	26.4
47.5	28.8

Crystal structure
Lattice parameters (Å, degrees): 3.826 3.955 7.943 94.56 90.60 118.78
Fractional coordinates of all 4 atoms:
Co (0.000, 0.000, 0.000)
Te (0.349, 0.690, 0.155)
Te (0.651, 0.310, 0.845)
Br (0.500, 0.000, 0.500)

***

This entry pairs a crystal structure of Co4TeBr with its theoretical powder diffraction line list. Radiation: λ = 1.5418 Å (Cu Kα). Structure: a crystal structure in Alexandria, relaxed with GGA-PBE.

Top 10 peaks for 10° ≤ 2θ ≤ 90°, sorted by position:
two_theta	Rel. int.
21.4	3.4
24.7	2.1
35.2	46.0
41.6	100.0
43.5	24.9
63.2	16.4
67.6	29.6
74.5	22.9
85.2	7.2
89.1	10.6

Crystal structure
Lattice parameters (Å, degrees): 5.095 5.095 5.095 60.00 60.00 60.00
Fractional coordinates of all 6 atoms:
Co (0.124, 0.124, 0.124)
Co (0.124, 0.124, 0.627)
Co (0.124, 0.627, 0.124)
Co (0.627, 0.124, 0.124)
Te (0.750, 0.750, 0.750)
Br (0.500, 0.500, 0.500)

***

This entry pairs a crystal structure of ThCoBr with its theoretical powder diffraction line list. Radiation: λ = 1.5418 Å (Cu Kα). Structure: a crystal structure in Alexandria, relaxed with GGA-PBE.

Top 10 peaks for 10° ≤ 2θ ≤ 90°, sorted by position:
two_theta	Rel. int.
26.0	80.9
26.3	54.8
30.8	88.6
32.4	59.8
33.3	80.0
35.4	73.3
36.5	56.9
38.6	75.1
45.0	36.2
45.9	100.0

Crystal structure
Lattice parameters (Å, degrees): 6.860 3.960 12.166 90.00 96.69 90.00
Fractional coordinates of all 12 atoms:
Th (0.037, 0.000, 0.157)
Th (0.463, 0.500, 0.843)
Th (0.537, 0.500, 0.157)
Th (0.963, 0.000, 0.843)
Co (0.167, 0.500, 0.003)
Co (0.333, 0.000, 0.997)
Co (0.667, 0.000, 0.003)
Co (0.833, 0.500, 0.997)
Br (0.241, 0.500, 0.334)
Br (0.259, 0.000, 0.666)
Br (0.741, 0.000, 0.334)
Br (0.759, 0.500, 0.666)

***

This entry pairs a crystal structure of Tl2Co3Br9 with its theoretical powder diffraction line list. Radiation: λ = 1.5418 Å (Cu Kα). Structure: a crystal structure in Alexandria, relaxed with GGA-PBE.

Top 10 peaks for 10° ≤ 2θ ≤ 90°, sorted by position:
two_theta	Rel. int.
17.5	35.5
19.5	51.0
23.4	44.8
28.7	33.8
29.5	53.1
31.2	100.0
34.7	25.5
35.5	42.4
41.4	29.9
50.2	24.6

Crystal structure
Lattice parameters (Å, degrees): 10.389 10.389 9.979 102.46 102.46 116.65
Fractional coordinates of all 28 atoms:
Tl (0.073, 0.744, 0.696)
Tl (0.256, 0.927, 0.304)
Tl (0.744, 0.073, 0.696)
Tl (0.927, 0.256, 0.304)
Co (0.239, 0.449, 0.829)
Co (0.354, 0.354, 0.156)
Co (0.449, 0.239, 0.829)
Co (0.551, 0.761, 0.171)
Co (0.646, 0.646, 0.844)
Co (0.761, 0.551, 0.171)
Br (0.010, 0.608, 0.344)
Br (0.130, 0.323, 0.986)
Br (0.217, 0.217, 0.692)
Br (0.219, 0.219, 0.303)
Br (0.307, 0.693, 0.000)
Br (0.323, 0.130, 0.986)
Br (0.392, 0.990, 0.656)
Br (0.395, 0.584, 0.706)
Br (0.416, 0.605, 0.294)
Br (0.584, 0.395, 0.706)
Br (0.605, 0.416, 0.294)
Br (0.608, 0.010, 0.344)
Br (0.677, 0.870, 0.014)
Br (0.693, 0.307, 0.000)
Br (0.781, 0.781, 0.697)
Br (0.783, 0.783, 0.308)
Br (0.870, 0.677, 0.014)
Br (0.990, 0.392, 0.656)

***

This entry pairs a crystal structure of TlCo2Br with its theoretical powder diffraction line list. Radiation: λ = 1.5418 Å (Cu Kα). Structure: a crystal structure in Alexandria, relaxed with GGA-PBE.

Top 10 peaks for 10° ≤ 2θ ≤ 90°, sorted by position:
two_theta	Rel. int.
11.3	27.9
22.7	22.3
29.5	30.4
33.1	100.0
35.0	46.1
39.9	21.3
42.7	18.3
51.9	37.0
52.3	21.7
63.7	17.9

Crystal structure
Lattice parameters (Å, degrees): 3.526 3.526 23.494 90.00 90.00 120.00
Fractional coordinates of all 12 atoms:
Tl (0.000, 0.000, 0.000)
Tl (0.333, 0.667, 0.667)
Tl (0.667, 0.333, 0.333)
Co (0.000, 0.000, 0.247)
Co (0.000, 0.000, 0.534)
Co (0.333, 0.667, 0.201)
Co (0.333, 0.667, 0.914)
Co (0.667, 0.333, 0.581)
Co (0.667, 0.333, 0.867)
Br (0.000, 0.000, 0.800)
Br (0.333, 0.667, 0.466)
Br (0.667, 0.333, 0.133)

***

This entry pairs a crystal structure of Tl2CoBr with its theoretical powder diffraction line list. Radiation: λ = 1.5418 Å (Cu Kα). Structure: a crystal structure in Alexandria, relaxed with GGA-PBE.

Top 10 peaks for 10° ≤ 2θ ≤ 90°, sorted by position:
two_theta	Rel. int.
11.2	20.5
28.3	43.8
31.2	100.0
31.3	50.2
33.3	22.3
34.0	17.4
41.1	32.2
48.3	51.0
58.6	25.1
79.2	17.8

Crystal structure
Lattice parameters (Å, degrees): 6.527 3.776 8.202 90.00 105.08 90.00
Fractional coordinates of all 8 atoms:
Tl (0.232, 0.000, 0.201)
Tl (0.268, 0.500, 0.799)
Tl (0.732, 0.500, 0.201)
Tl (0.768, 0.000, 0.799)
Co (0.000, 0.500, 0.000)
Co (0.500, 0.000, 0.000)
Br (0.000, 0.000, 0.500)
Br (0.500, 0.500, 0.500)